# NaPO4
Calculated powder XRD pattern, Cu Kα, 1.54184 Å. Input: a PBE-relaxed structure.
Kinematic intensities with the Lorentz-polarization factor, no thermal factor.

Structural model:
```
NaPO4
1.0
6.657 0.000 0.000
-2.247 6.361 0.000
-1.408 -2.347 8.846
Na P O
4 4 16
Direct
0.129 0.037 0.354
0.351 0.185 0.102
0.649 0.815 0.898
0.871 0.963 0.646
0.069 0.502 0.270
0.278 0.747 0.587
0.722 0.253 0.413
0.931 0.498 0.730
0.068 0.690 0.203
0.095 0.304 0.182
0.153 0.891 0.565
0.157 0.566 0.673
0.260 0.589 0.425
0.268 0.806 0.029
0.468 0.437 0.936
0.486 0.159 0.332
0.514 0.841 0.668
0.532 0.563 0.064
0.732 0.194 0.971
0.740 0.411 0.575
0.843 0.434 0.327
0.847 0.109 0.435
0.905 0.696 0.818
0.932 0.310 0.797
```

The 10 most intense peaks (15° ≤ 2θ ≤ 90°), sorted by position:
(0 1 -1), 15.30°, d = 5.793 Å, I 28; (1 -1 0), 16.20°, d = 5.470 Å, I 98; (-1 1 1), 19.25°, d = 4.611 Å, I 50; (1 0 1), 19.53°, d = 4.545 Å, I 93; (1 1 -2), 26.47°, d = 3.367 Å, I 49; (1 0 2), 27.52°, d = 3.241 Å, I 100; (0 1 2), 27.70°, d = 3.221 Å, I 27; (2 0 -1), 28.64°, d = 3.117 Å, I 27; (2 0 -2), 31.51°, d = 2.839 Å, I 25; (0 2 -3), 36.43°, d = 2.466 Å, I 46



# NaI3O8
Calculated powder XRD pattern, Cu Kα, 1.54184 Å. Input: a PBE-relaxed structure.
Kinematic intensities with the Lorentz-polarization factor, no thermal factor.

Structural model:
```
NaI3O8
1.0
8.211 0.000 0.000
0.000 8.211 0.000
0.000 0.000 5.932
Na I O
2 6 16
Direct
0.000 0.000 0.000
0.500 0.500 0.000
0.000 0.500 0.113
0.227 0.250 0.615
0.250 0.773 0.385
0.500 0.000 0.887
0.750 0.227 0.385
0.773 0.750 0.615
0.010 0.227 0.658
0.091 0.735 0.143
0.169 0.446 0.304
0.227 0.990 0.342
0.265 0.091 0.857
0.266 0.430 0.784
0.430 0.734 0.216
0.446 0.831 0.696
0.554 0.169 0.696
0.570 0.266 0.216
0.734 0.570 0.784
0.735 0.909 0.857
0.773 0.010 0.342
0.831 0.554 0.304
0.909 0.265 0.143
0.990 0.773 0.658
```

The 10 most intense peaks (15° ≤ 2θ ≤ 90°), sorted by position:
(1 1 0), 15.26°, d = 5.806 Å, I 27; (1 1 1), 21.41°, d = 4.149 Å, I 76; (2 0 1), 26.40°, d = 3.376 Å, I 100; (1 2 1), 28.59°, d = 3.122 Å, I 29; (2 2 0), 30.80°, d = 2.903 Å, I 36; (1 1 2), 33.94°, d = 2.641 Å, I 28; (1 3 1), 37.82°, d = 2.379 Å, I 25; (4 0 0), 44.12°, d = 2.053 Å, I 25; (1 3 2), 46.48°, d = 1.954 Å, I 31; (4 2 1), 52.15°, d = 1.754 Å, I 31



Question: Number 1 is which compound?
Answer: NaPO4